Calculated PXRD pattern
Compound: Li2Cu2Si8O19
Radiation: CuKα
Structure: a cell relaxed with PBE
Peak positions follow from Bragg's law for the DFT cell and can differ from measured ones.

Most intense lines, 10° ≤ 2θ ≤ 90°, low angle first:
- (0 1 0), 2θ 13.19, rel. 92
- (0 1 1), 2θ 17.04, rel. 95
- (1 0 0), 2θ 18.92, rel. 42
- (-1 1 1), 2θ 20.38, rel. 51
- (0 0 3), 2θ 23.21, rel. 69
- (1 -1 2), 2θ 24.10, rel. 58
- (1 1 -1), 2θ 25.89, rel. 37
- (1 -2 1), 2θ 26.36, rel. 100
- (1 1 -2), 2θ 27.27, rel. 88
- (0 1 3), 2θ 29.88, rel. 39

```
Li2Cu2Si8O19
1.0
5.056 0.000 0.000
-2.475 6.999 0.000
-1.013 -3.345 11.505
Li Cu Si O
2 2 8 19
Cartesian
0.000 0.000 0.000 Li
-1.253 4.701 3.198 Li
-0.472 2.044 2.276 Cu
1.665 2.695 0.461 Cu
-0.713 -1.343 6.313 Si
-0.835 4.554 0.433 Si
0.674 -1.669 9.135 Si
-0.546 2.641 8.021 Si
0.559 2.991 5.196 Si
2.348 0.161 2.108 Si
1.903 0.110 5.167 Si
2.047 1.224 9.165 Si
-1.607 1.470 8.387 O
-0.388 -1.527 7.888 O
-0.020 -1.876 10.587 O
0.578 -0.780 5.484 O
-0.922 5.875 1.447 O
-0.203 3.227 3.788 O
-0.543 2.848 6.403 O
-0.347 0.906 11.497 O
-0.858 4.032 8.795 O
1.393 1.470 2.015 O
2.395 -0.369 3.679 O
1.550 1.682 5.203 O
1.655 -0.347 9.143 O
0.936 2.167 8.473 O
1.523 4.266 5.552 O
3.097 -0.293 6.186 O
3.804 0.452 1.468 O
3.396 3.401 1.288 O
2.250 1.770 10.703 O
```